(1)
Starting from a structure optimized by DFT (PBE), the powder diffraction line list of Ca6CdAu5 was calculated for copper Kα.
Intensities are scaled so that the largest is 1000.

Cell and atoms:
Cell: 5.164 15.560 7.377 Å, 90.00 90.00 90.00°
Space group Cmmm (No. 65)
Inequivalent atoms, fractional coordinates:
1 Ca 0.000 0.000 0.239 x4
2 Ca 0.000 0.329 0.248 x8
3 Cd 0.000 0.500 0.500 x2
4 Au 0.000 0.157 0.500 x4
5 Au 0.000 0.167 0.000 x4
6 Au 0.000 0.500 0.000 x2

Principal peaks in the range 2θ = 10–90°, in order of falling intensity:
2θ/deg  d (Å)  I_rel
34.54  2.597  1000
24.32  3.660  371
34.74  2.582  200
24.13  3.689  192
62.14  1.494  144
49.84  1.830  137
61.94  1.498  135
56.11  1.639  117

(2)
Starting from a structure optimized by DFT (PBE), the powder diffraction line list of Li5DyS4 was calculated for copper Kα.
Intensities are scaled so that the largest is 1000.

Cell and atoms:
Cell: 3.909 7.091 13.470 Å, 90.00 90.00 90.00°
Space group Immm (No. 71)
Inequivalent atoms, fractional coordinates:
1 Li 0.000 0.000 0.000 x2
2 Li 0.000 0.212 0.322 x8
3 Dy 0.000 0.500 0.000 x2
4 S 0.000 0.265 0.500 x4
5 S 0.000 0.500 0.209 x4

Principal peaks in the range 2θ = 10–90°, in order of falling intensity:
2θ/deg  d (Å)  I_rel
14.12  6.275  1000
13.15  6.735  531
34.81  2.577  517
26.03  3.423  432
48.43  1.879  401
26.47  3.368  285
37.46  2.401  248
35.65  2.518  174

(3)
Starting from a structure optimized by DFT (PBE), the powder diffraction line list of AlCdIn2 was calculated for copper Kα.
Intensities are scaled so that the largest is 1000.

Cell and atoms:
Cell: 3.199 5.530 10.865 Å, 90.00 90.00 90.00°
Space group Cmm2 (No. 35)
Inequivalent atoms, fractional coordinates:
1 Al 0.000 0.000 0.000 x2
2 Cd 0.000 0.500 0.773 x2
3 In 0.000 0.000 0.513 x2
4 In 0.000 0.500 0.238 x2

Principal peaks in the range 2θ = 10–90°, in order of falling intensity:
2θ/deg  d (Å)  I_rel
36.42  2.467  1000
32.38  2.765  386
32.98  2.716  290
46.89  1.938  228
60.41  1.532  218
61.15  1.515  157
33.40  2.683  140
24.58  3.622  136

(4)
Starting from a structure optimized by DFT (PBE), the powder diffraction line list of Ta4GaTe8 was calculated for copper Kα.
Intensities are scaled so that the largest is 1000.

Cell and atoms:
Cell: 7.4029 7.4029 24.4769 Å, 90.00 90.00 120.00°
Space group R-3m (No. 166, hexagonal axes)
Inequivalent atoms, fractional coordinates:
1 Ta 0.0000 0.0000 0.0000 x3
2 Ta 0.0000 0.5000 0.0000 x9
3 Ga 0.0000 0.0000 0.5000 x3
4 Te 0.0000 0.0000 0.2586 x6
5 Te 0.0005 0.5003 0.7415 x18

Principal peaks in the range 2θ = 10–90°, in order of falling intensity:
2θ/deg  d (Å)  I_rel
31.51  2.840  1000
10.84  8.159  819
40.77  2.213  458
49.23  1.851  295
38.08  2.363  196
68.45  1.371  173
59.63  1.550  161
28.07  3.178  149

(5)
Starting from a structure optimized by DFT (PBE), the powder diffraction line list of AcPmZnN3 was calculated for copper Kα.
Intensities are scaled so that the largest is 1000.

Cell and atoms:
Cell: 7.580 3.607 7.722 Å, 90.00 98.82 90.00°
Space group P2_1/m (No. 11)
Inequivalent atoms, fractional coordinates:
1 Ac 0.170 0.250 0.201 x2
2 Pm 0.357 0.750 0.832 x2
3 Zn 0.103 0.250 0.601 x2
4 N 0.126 0.250 0.864 x2
5 N 0.172 0.750 0.501 x2
6 N 0.409 0.750 0.143 x2

Principal peaks in the range 2θ = 10–90°, in order of falling intensity:
2θ/deg  d (Å)  I_rel
34.52  2.598  1000
27.36  3.259  923
35.29  2.543  674
30.78  2.905  570
34.21  2.621  520
28.11  3.175  433
23.31  3.815  399
47.28  1.923  339

(6)
Starting from a structure optimized by DFT (PBE), the powder diffraction line list of SiTcRuC was calculated for copper Kα.
Intensities are scaled so that the largest is 1000.

Cell and atoms:
Cell: 2.899 2.899 5.889 Å, 90.00 90.00 90.00°
Space group P4mm (No. 99)
Inequivalent atoms, fractional coordinates:
1 Si 0.000 0.000 0.000 x1
2 Tc 0.000 0.000 0.572 x1
3 Ru 0.500 0.500 0.234 x1
4 C 0.500 0.500 0.629 x1

Principal peaks in the range 2θ = 10–90°, in order of falling intensity:
2θ/deg  d (Å)  I_rel
34.48  2.601  1000
43.82  2.066  846
44.18  2.050  613
15.04  5.889  484
81.03  1.187  272
65.87  1.418  255
75.01  1.266  205
64.25  1.450  193